(1)
Theoretical XRD peak list
Compound: Na2GeH14S3O7
Radiation: copper Kα
Structure: DFT lattice parameters and positions (PBE)
No peak broadening, texture or thermal motion is included.

Peak list (10 most intense, 10° ≤ 2θ ≤ 90°, most intense first)
d/Å, I_rel, index
5.479, 100, -1 1 1
6.761, 54, 1 0 0
6.597, 39, 0 1 1
4.793, 36, 1 1 0
2.180, 36, 2 -4 1
2.702, 35, 2 -3 0
3.354, 35, 1 1 2
5.790, 33, 1 0 -1
3.214, 32, 0 1 -3
4.085, 31, 0 2 1

Crystal structure
Lattice parameters (Å, degrees): 7.095 9.586 10.113 92.12 92.86 107.26
Element x y z (fractional)
Na  0.099  0.471  0.154
Na  0.300  0.359  0.446
Na  0.700  0.641  0.554
Na  0.901  0.529  0.846
Ge  0.430  0.086  0.887
Ge  0.570  0.914  0.113
H  0.038  0.174  0.244
H  0.051  0.599  0.396
H  0.051  0.746  0.063
H  0.056  0.157  0.634
H  0.076  0.861  0.497
H  0.174  0.335  0.919
H  0.241  0.194  0.183
H  0.265  0.757  0.772
H  0.276  0.641  0.414
H  0.333  0.669  0.885
H  0.351  0.551  0.697
H  0.426  0.841  0.568
H  0.439  0.423  0.722
H  0.457  0.139  0.561
H  0.543  0.861  0.439
H  0.561  0.577  0.278
H  0.574  0.159  0.432
H  0.649  0.449  0.303
H  0.667  0.331  0.115
H  0.724  0.359  0.586
H  0.735  0.243  0.228
H  0.759  0.806  0.817
H  0.826  0.665  0.081
H  0.924  0.139  0.503
H  0.944  0.843  0.366
H  0.949  0.254  0.937
H  0.949  0.401  0.604
H  0.962  0.826  0.756
S  0.266  0.978  0.701
S  0.285  0.978  0.073
S  0.487  0.321  0.914
S  0.513  0.679  0.086
S  0.715  0.022  0.927
S  0.734  0.022  0.299
O  0.022  0.211  0.561
O  0.044  0.352  0.933
O  0.160  0.559  0.381
O  0.167  0.248  0.235
O  0.250  0.656  0.801
O  0.416  0.486  0.651
O  0.475  0.787  0.500
O  0.525  0.213  0.500
O  0.584  0.514  0.349
O  0.750  0.344  0.199
O  0.833  0.752  0.765
O  0.840  0.441  0.619
O  0.956  0.648  0.067
O  0.978  0.789  0.439


(2)
Theoretical XRD peak list
Compound: Na4Sn2Ge5HO16
Radiation: copper Kα
Structure: DFT lattice parameters and positions (PBE)
No peak broadening, texture or thermal motion is included.

Peak list (10 most intense, 10° ≤ 2θ ≤ 90°, most intense first)
d/Å, I_rel, index
2.948, 100, 2 1 -1
4.311, 96, 1 1 -1
6.780, 70, 1 0 0
2.753, 61, 1 0 6
2.629, 58, 1 1 -7
3.239, 48, 1 1 -5
3.923, 48, 1 1 -3
5.107, 45, 0 0 4
3.405, 42, 0 0 6
2.725, 35, 0 2 0

Crystal structure
Lattice parameters (Å, degrees): 7.055 5.451 21.259 90.00 106.06 90.00
Element x y z (fractional)
Na  0.108  0.244  0.472
Na  0.108  0.756  0.972
Na  0.250  0.011  0.792
Na  0.250  0.989  0.292
Na  0.750  0.011  0.708
Na  0.750  0.989  0.208
Na  0.892  0.244  0.028
Na  0.892  0.756  0.528
Sn  0.386  0.240  0.089
Sn  0.386  0.760  0.589
Sn  0.614  0.240  0.411
Sn  0.614  0.760  0.911
Ge  0.153  0.245  0.635
Ge  0.153  0.755  0.135
Ge  0.315  0.283  0.925
Ge  0.315  0.717  0.425
Ge  0.500  0.497  0.750
Ge  0.500  0.503  0.250
Ge  0.685  0.283  0.575
Ge  0.685  0.717  0.075
Ge  0.847  0.245  0.865
Ge  0.847  0.755  0.365
H  0.000  0.335  0.250
H  0.000  0.665  0.750
O  0.090  0.279  0.854
O  0.090  0.721  0.354
O  0.156  0.061  0.113
O  0.156  0.939  0.613
O  0.191  0.455  0.577
O  0.191  0.545  0.077
O  0.243  0.159  0.991
O  0.243  0.841  0.491
O  0.296  0.293  0.718
O  0.296  0.707  0.218
O  0.382  0.405  0.437
O  0.382  0.595  0.937
O  0.460  0.320  0.313
O  0.460  0.680  0.813
O  0.467  0.096  0.891
O  0.467  0.904  0.391
O  0.533  0.096  0.609
O  0.533  0.904  0.109
O  0.540  0.320  0.187
O  0.540  0.680  0.687
O  0.618  0.405  0.063
O  0.618  0.595  0.563
O  0.704  0.293  0.782
O  0.704  0.707  0.282
O  0.757  0.159  0.509
O  0.757  0.841  0.009
O  0.809  0.455  0.923
O  0.809  0.545  0.423
O  0.844  0.061  0.387
O  0.844  0.939  0.887
O  0.910  0.279  0.646
O  0.910  0.721  0.146